No. 1
The following is a simulated PXRD pattern of MgScTlPt. It was derived from a crystal structure in OQMD, relaxed with GGA-PBE, using Cu Kα X-rays.

Crystal structure
a b c (Å): 6.7734 6.7734 6.7734
angles (deg): 90.00 90.00 90.00
Space group F-43m (No. 216)
Inequivalent atoms, fractional coordinates:
Mg1 0.0000 0.0000 0.0000
Sc1 0.0000 0.0000 0.5000
Tl1 0.2500 0.2500 0.2500
Pt1 0.2500 0.2500 0.7500

Peak list (6 most intense, 5° ≤ 2θ ≤ 70°, by angle)
d (Å), I (rel.), index
3.387, 60, 2 0 0
2.395, 100, 2 2 0
1.955, 18, 2 2 2
1.693, 17, 4 0 0
1.515, 25, 4 2 0
1.383, 36, 4 2 2



No. 2
The following is a simulated PXRD pattern of SmMgPt. It was derived from a crystal structure in OQMD, relaxed with GGA-PBE, using Cu Kα X-rays.

Crystal structure
a b c (Å): 7.7818 7.7818 3.9967
angles (deg): 90.00 90.00 120.00
Space group P-62m (No. 189)
Inequivalent atoms, fractional coordinates:
Sm1 0.0000 0.2712 0.0000
Mg1 0.0000 0.6056 0.5000
Pt1 0.0000 0.0000 0.5000
Pt2 0.3333 0.6667 0.0000

Peak list (6 most intense, 5° ≤ 2θ ≤ 70°, by angle)
d (Å), I (rel.), index
3.997, 49, 0 0 1
3.891, 87, 1 1 0
2.788, 58, 1 1 1
2.576, 93, 2 0 1
2.246, 80, 3 0 0
2.148, 100, 2 1 1



Repeat the second record exactly.
The following is a simulated PXRD pattern of SmMgPt. It was derived from a crystal structure in OQMD, relaxed with GGA-PBE, using Cu Kα X-rays.

Crystal structure
a b c (Å): 7.7818 7.7818 3.9967
angles (deg): 90.00 90.00 120.00
Space group P-62m (No. 189)
Inequivalent atoms, fractional coordinates:
Sm1 0.0000 0.2712 0.0000
Mg1 0.0000 0.6056 0.5000
Pt1 0.0000 0.0000 0.5000
Pt2 0.3333 0.6667 0.0000

Peak list (6 most intense, 5° ≤ 2θ ≤ 70°, by angle)
d (Å), I (rel.), index
3.997, 49, 0 0 1
3.891, 87, 1 1 0
2.788, 58, 1 1 1
2.576, 93, 2 0 1
2.246, 80, 3 0 0
2.148, 100, 2 1 1